Starting from a crystal structure in the Materials Project, relaxed with PBE, the XRD peak list of K2RbErCl6 was calculated for λ = 1.5418 Å (Cu Kα).

Top 10 peaks for 15° ≤ 2θ ≤ 90°, low angle first:
2θ 15.53, intensity 97, (2 0 0); 2θ 22.03, intensity 100, (2 2 0); 2θ 31.35, intensity 86, (4 0 0); 2θ 35.16, intensity 47, (4 2 0); 2θ 38.64, intensity 44, (4 2 2); 2θ 44.92, intensity 57, (4 4 0); 2θ 47.81, intensity 24, (6 0 0); 2θ 50.58, intensity 25, (6 2 0); 2θ 60.72, intensity 26, (6 4 2); 2θ 74.33, intensity 21, (8 4 0)

Lattice parameters (Å, degrees): 11.414 11.414 11.414 90.00 90.00 90.00
Space group Fm-3m (No. 225)
Asymmetric unit:
K: 0.250 0.250 0.250 x8
Rb: 0.000 0.000 0.000 x4
Er: 0.000 0.000 0.500 x4
Cl: 0.000 0.000 0.271 x24

=====

Starting from a crystal structure in the Materials Project, relaxed with PBE, the XRD peak list of ReRhN5Cl7 was calculated for λ = 1.5418 Å (Cu Kα).

Top 10 peaks for 15° ≤ 2θ ≤ 90°, low angle first:
2θ 16.26, intensity 100, (0 1 2); 2θ 17.62, intensity 10, (2 0 -2); 2θ 19.65, intensity 11, (2 1 0); 2θ 20.85, intensity 25, (2 1 -2); 2θ 22.20, intensity 20, (0 2 0); 2θ 23.99, intensity 11, (0 0 4); 2θ 25.06, intensity 12, (2 1 2); 2θ 27.60, intensity 9, (2 2 0); 2θ 38.12, intensity 13, (2 3 -2); 2θ 45.25, intensity 11, (0 4 0)

Lattice parameters (Å, degrees): 11.289 8.010 15.307 90.00 104.18 90.00
Space group P2_1/m (No. 11)
Asymmetric unit:
Re: 0.198 0.250 0.137 x2
Re: 0.213 0.250 0.635 x2
Rh: 0.265 0.750 0.875 x2
Rh: 0.284 0.750 0.357 x2
N: 0.135 0.750 0.791 x2
N: 0.201 0.582 0.419 x4
N: 0.209 0.750 0.247 x2
N: 0.215 0.750 0.991 x2
N: 0.309 0.511 0.903 x4
N: 0.405 0.750 0.816 x2
N: 0.417 0.582 0.374 x4
Cl: 0.038 0.250 0.521 x2
Cl: 0.052 0.049 0.135 x4
Cl: 0.095 0.250 0.739 x2
Cl: 0.150 0.250 0.983 x2
Cl: 0.212 0.534 0.637 x4
Cl: 0.242 0.250 0.292 x2
Cl: 0.326 0.250 0.531 x2
Cl: 0.341 0.048 0.140 x4
Cl: 0.387 0.250 0.749 x2
Cl: 0.403 0.750 0.532 x2
Cl: 0.468 0.750 0.006 x2

=====

Starting from a crystal structure in the Materials Project, relaxed with PBE, the XRD peak list of GdAsO4 was calculated for λ = 1.5418 Å (Cu Kα).

Top 10 peaks for 15° ≤ 2θ ≤ 90°, low angle first:
2θ 26.83, intensity 53, (0 0 2); 2θ 28.58, intensity 100, (0 2 1); 2θ 30.10, intensity 24, (2 1 -1); 2θ 30.39, intensity 60, (2 1 -2); 2θ 33.12, intensity 24, (2 0 0); 2θ 35.53, intensity 16, (2 1 0); 2θ 45.89, intensity 29, (2 1 -4); 2θ 47.53, intensity 24, (2 3 -1); 2θ 50.39, intensity 23, (2 2 1); 2θ 51.95, intensity 22, (2 3 -3)

Lattice parameters (Å, degrees): 6.709 7.077 8.241 90.00 126.25 90.00
Space group P2_1/c (No. 14)
Asymmetric unit:
Gd: 0.190 0.147 0.282 x4
As: 0.311 0.661 0.199 x4
O: 0.107 0.652 0.605 x4
O: 0.166 0.006 0.746 x4
O: 0.356 0.605 0.018 x4
O: 0.385 0.213 0.112 x4